1.
# AlCd6F12
Theoretical powder diffraction line list, Cu Kα (weighted mean of Kα1 and Kα2). Input: DFT lattice parameters and positions (GGA-PBE).

Largest 10 diffraction maxima, sorted by position, 10 to 90 degrees two-theta:
h k l  2θ (°)  Rel. int.
1 1 0  17.31  11.7
0 0 3  27.86  32.0
3 -1 1  28.19  100.0
1 2 2  32.57  35.9
3 -1 4  46.51  32.2
4 1 0  46.93  29.0
1 2 5  55.09  13.2
4 1 3  55.46  25.0
2 4 1  55.65  10.0
8 -5 1  75.69  8.8

Crystal structure
Cell lengths 10.2445, 10.2445, 9.6067 Å; angles 90.00, 90.00, 120.00 degrees
Space group R-3 (No. 148, hexagonal axes)
One atom of each set of equivalent atoms:
Al  0.0000  0.0000  0.0000
Cd  0.0467  0.7897  0.6528
F  0.0324  0.8075  0.3998
F  0.0433  0.8754  0.8927

=====

2.
# Dy4C
Theoretical powder diffraction line list, Cu Kα (weighted mean of Kα1 and Kα2). Input: DFT lattice parameters and positions (GGA-PBE).

Largest 8 diffraction maxima, sorted by position, 10 to 90 degrees two-theta:
h k l  2θ (°)  Rel. int.
1 1 1  30.67  100.0
2 0 0  35.56  54.2
2 2 0  51.17  38.5
3 1 1  60.84  43.5
2 2 2  63.86  13.2
4 0 0  75.28  6.1
3 3 1  83.44  18.1
4 2 0  86.12  17.7

Crystal structure
Cell lengths 5.0494, 5.0494, 5.0494 Å; angles 90.00, 90.00, 90.00 degrees
Space group Pm-3m (No. 221)
One atom of each set of equivalent atoms:
Dy  0.0000  0.0000  0.0000
Dy  0.0000  0.5000  0.5000
C  0.5000  0.5000  0.5000

=====

3.
# Si23Pb4
Theoretical powder diffraction line list, Cu Kα (weighted mean of Kα1 and Kα2). Input: DFT lattice parameters and positions (GGA-PBE).

Largest 10 diffraction maxima, sorted by position, 10 to 90 degrees two-theta:
h k l  2θ (°)  Rel. int.
2 0 0  17.31  18.9
2 1 0  19.37  52.3
2 1 1  21.24  45.4
2 2 2  30.22  24.2
3 2 0  31.49  47.6
3 2 1  32.71  100.0
4 0 0  35.04  28.1
4 2 1  40.35  17.5
5 2 0  47.81  21.2
5 3 2  55.28  38.3

Crystal structure
Cell lengths 10.2443, 10.2443, 10.2443 Å; angles 90.00, 90.00, 90.00 degrees
Space group Pm-3n (No. 223)
One atom of each set of equivalent atoms:
Si  0.0000  0.1173  0.3094
Si  0.0000  0.2500  0.5000
Si  0.1840  0.1840  0.1840
Pb  0.0000  0.0000  0.0000
Pb  0.0000  0.5000  0.2500

=====

4.
# Nd3Y4Pu
Theoretical powder diffraction line list, Cu Kα (weighted mean of Kα1 and Kα2). Input: DFT lattice parameters and positions (GGA-PBE).

Largest 10 diffraction maxima, sorted by position, 10 to 90 degrees two-theta:
h k l  2θ (°)  Rel. int.
0 2 0  15.11  24.3
1 1 2  30.19  95.9
0 4 0  30.48  56.9
0 2 4  31.44  100.0
1 2 3  36.55  27.3
1 3 2  37.32  54.9
1 5 2  48.93  25.4
1 1 6  50.21  21.1
0 6 4  54.78  20.7
2 2 4  62.77  27.3

Crystal structure
Cell lengths 3.4663, 11.7298, 13.0174 Å; angles 90.00, 90.00, 90.00 degrees
Space group Immm (No. 71)
One atom of each set of equivalent atoms:
Nd  0.0000  0.0000  0.0000
Nd  0.0000  0.5000  0.2355
Y  0.0000  0.2481  0.3680
Pu  0.0000  0.0000  0.5000

=====

5.
# LiSc4Os2
Theoretical powder diffraction line list, Cu Kα (weighted mean of Kα1 and Kα2). Input: DFT lattice parameters and positions (GGA-PBE).

Largest 10 diffraction maxima, sorted by position, 10 to 90 degrees two-theta:
h k l  2θ (°)  Rel. int.
0 1 2  23.81  100.0
0 0 6  24.31  32.2
1 0 4  27.71  19.4
1 1 0  39.26  63.2
0 1 8  39.90  58.6
2 0 2  46.44  17.2
1 1 6  46.72  34.4
1 0 10  47.27  15.5
2 0 8  57.22  20.0
1 2 8  71.60  20.1

Crystal structure
Cell lengths 4.5892, 4.5892, 21.9699 Å; angles 90.00, 90.00, 120.00 degrees
Space group R-3m (No. 166, hexagonal axes)
One atom of each set of equivalent atoms:
Li  0.0000  0.0000  0.0000
Sc  0.0000  0.0000  0.1290
Sc  0.0000  0.0000  0.3800
Os  0.0000  0.0000  0.2527

=====

6.
# LiPr4Al2
Theoretical powder diffraction line list, Cu Kα (weighted mean of Kα1 and Kα2). Input: DFT lattice parameters and positions (GGA-PBE).

Largest 10 diffraction maxima, sorted by position, 10 to 90 degrees two-theta:
h k l  2θ (°)  Rel. int.
1 0 4  23.88  100.0
1 1 0  33.78  65.2
0 1 8  34.28  54.8
0 2 4  41.79  23.0
2 0 8  48.89  20.0
2 1 4  54.78  20.9
1 1 12  55.46  15.0
3 0 0  60.42  12.1
1 2 8  60.75  20.8
3 1 8  81.31  9.0

Crystal structure
Cell lengths 5.3070, 5.3070, 25.4505 Å; angles 90.00, 90.00, 120.00 degrees
Space group R-3m (No. 166, hexagonal axes)
One atom of each set of equivalent atoms:
Li  0.0000  0.0000  0.0000
Pr  0.0000  0.0000  0.1307
Pr  0.0000  0.0000  0.3836
Al  0.0000  0.0000  0.2566

=====

7.
# Pr3HoCd3
Theoretical powder diffraction line list, Cu Kα (weighted mean of Kα1 and Kα2). Input: DFT lattice parameters and positions (GGA-PBE).

Largest 10 diffraction maxima, sorted by position, 10 to 90 degrees two-theta:
h k l  2θ (°)  Rel. int.
1 3 1  28.10  38.7
2 2 1  28.72  19.0
2 2 -2  31.41  100.0
3 1 0  31.72  37.2
1 1 -3  32.49  17.2
0 4 1  33.08  12.5
1 3 2  33.89  45.2
2 2 2  34.83  15.9
0 0 4  41.94  18.6
3 5 0  50.85  12.8

Crystal structure
Cell lengths 8.8066, 11.4081, 8.6921 Å; angles 90.00, 97.40, 90.00 degrees
Space group C2/m (No. 12)
One atom of each set of equivalent atoms:
Pr  0.0000  0.1739  0.0000
Pr  0.0000  0.2443  0.5000
Pr  0.1388  0.5000  0.8686
Ho  0.2014  0.5000  0.4722
Cd  0.0059  0.0000  0.7067
Cd  0.2211  0.3281  0.2134